(1)
PrSmNiPt: simulated powder X-ray diffraction pattern (λ = 1.5418 Å (Cu Kα)), based on DFT lattice parameters and positions (GGA-PBE).
Intensities are scaled so that the largest is 100.

```
data_PrSmNiPt
_cell_length_a 4.4543
_cell_length_b 5.6433
_cell_length_c 5.6433
_cell_angle_alpha 40.97
_cell_angle_beta 90.00
_cell_angle_gamma 90.00
_symmetry_space_group_name_H-M 'P 1'
_symmetry_Int_Tables_number 1
loop_
_symmetry_equiv_pos_as_xyz
'x,y,z'
loop_
_atom_site_label
_atom_site_type_symbol
_atom_site_fract_x
_atom_site_fract_y
_atom_site_fract_z
_atom_site_occupancy
Pr1 Pr 0.0000 0.0000 0.0000 1
Sm1 Sm 0.5000 0.2787 0.2787 1
Ni1 Ni 0.0000 0.7207 0.7207 1
Pt1 Pt 0.5000 0.5654 0.5654 1
```

Most intense lines, 2θ from 15° to 90°, low angle first:
2θ 31.43, rel. 100.0; 2θ 33.92, rel. 22.9; 2θ 34.09, rel. 31.3; 2θ 39.65, rel. 24.9; 2θ 39.81, rel. 65.4; 2θ 40.50, rel. 29.4

(2)
PrZnNiPt: simulated powder X-ray diffraction pattern (λ = 1.5418 Å (Cu Kα)), based on DFT lattice parameters and positions (GGA-PBE).
Intensities are scaled so that the largest is 100.

```
data_PrZnNiPt
_cell_length_a 5.4534
_cell_length_b 5.4534
_cell_length_c 5.4534
_cell_angle_alpha 46.57
_cell_angle_beta 46.57
_cell_angle_gamma 46.57
_symmetry_space_group_name_H-M 'P 1'
_symmetry_Int_Tables_number 1
loop_
_symmetry_equiv_pos_as_xyz
'x,y,z'
loop_
_atom_site_label
_atom_site_type_symbol
_atom_site_fract_x
_atom_site_fract_y
_atom_site_fract_z
_atom_site_occupancy
Pr1 Pr 0.0000 0.0000 0.0000 1
Zn1 Zn 0.4940 0.4940 0.4940 1
Ni1 Ni 0.8006 0.8006 0.8006 1
Pt1 Pt 0.2074 0.2074 0.2074 1
```

Most intense lines, 2θ from 15° to 90°, low angle first:
2θ 18.28, rel. 27.0; 2θ 24.61, rel. 64.9; 2θ 34.41, rel. 92.4; 2θ 39.24, rel. 58.8; 2θ 41.91, rel. 100.0; 2θ 57.16, rel. 25.5

Repeat the first record exactly.
PrSmNiPt: simulated powder X-ray diffraction pattern (λ = 1.5418 Å (Cu Kα)), based on DFT lattice parameters and positions (GGA-PBE).
Intensities are scaled so that the largest is 100.

```
data_PrSmNiPt
_cell_length_a 4.4543
_cell_length_b 5.6433
_cell_length_c 5.6433
_cell_angle_alpha 40.97
_cell_angle_beta 90.00
_cell_angle_gamma 90.00
_symmetry_space_group_name_H-M 'P 1'
_symmetry_Int_Tables_number 1
loop_
_symmetry_equiv_pos_as_xyz
'x,y,z'
loop_
_atom_site_label
_atom_site_type_symbol
_atom_site_fract_x
_atom_site_fract_y
_atom_site_fract_z
_atom_site_occupancy
Pr1 Pr 0.0000 0.0000 0.0000 1
Sm1 Sm 0.5000 0.2787 0.2787 1
Ni1 Ni 0.0000 0.7207 0.7207 1
Pt1 Pt 0.5000 0.5654 0.5654 1
```

Most intense lines, 2θ from 15° to 90°, low angle first:
2θ 31.43, rel. 100.0; 2θ 33.92, rel. 22.9; 2θ 34.09, rel. 31.3; 2θ 39.65, rel. 24.9; 2θ 39.81, rel. 65.4; 2θ 40.50, rel. 29.4

Please write out number 2 again, unchanged.
PrZnNiPt: simulated powder X-ray diffraction pattern (λ = 1.5418 Å (Cu Kα)), based on DFT lattice parameters and positions (GGA-PBE).
Intensities are scaled so that the largest is 100.

```
data_PrZnNiPt
_cell_length_a 5.4534
_cell_length_b 5.4534
_cell_length_c 5.4534
_cell_angle_alpha 46.57
_cell_angle_beta 46.57
_cell_angle_gamma 46.57
_symmetry_space_group_name_H-M 'P 1'
_symmetry_Int_Tables_number 1
loop_
_symmetry_equiv_pos_as_xyz
'x,y,z'
loop_
_atom_site_label
_atom_site_type_symbol
_atom_site_fract_x
_atom_site_fract_y
_atom_site_fract_z
_atom_site_occupancy
Pr1 Pr 0.0000 0.0000 0.0000 1
Zn1 Zn 0.4940 0.4940 0.4940 1
Ni1 Ni 0.8006 0.8006 0.8006 1
Pt1 Pt 0.2074 0.2074 0.2074 1
```

Most intense lines, 2θ from 15° to 90°, low angle first:
2θ 18.28, rel. 27.0; 2θ 24.61, rel. 64.9; 2θ 34.41, rel. 92.4; 2θ 39.24, rel. 58.8; 2θ 41.91, rel. 100.0; 2θ 57.16, rel. 25.5

Repeat the first record exactly.
PrSmNiPt: simulated powder X-ray diffraction pattern (λ = 1.5418 Å (Cu Kα)), based on DFT lattice parameters and positions (GGA-PBE).
Intensities are scaled so that the largest is 100.

```
data_PrSmNiPt
_cell_length_a 4.4543
_cell_length_b 5.6433
_cell_length_c 5.6433
_cell_angle_alpha 40.97
_cell_angle_beta 90.00
_cell_angle_gamma 90.00
_symmetry_space_group_name_H-M 'P 1'
_symmetry_Int_Tables_number 1
loop_
_symmetry_equiv_pos_as_xyz
'x,y,z'
loop_
_atom_site_label
_atom_site_type_symbol
_atom_site_fract_x
_atom_site_fract_y
_atom_site_fract_z
_atom_site_occupancy
Pr1 Pr 0.0000 0.0000 0.0000 1
Sm1 Sm 0.5000 0.2787 0.2787 1
Ni1 Ni 0.0000 0.7207 0.7207 1
Pt1 Pt 0.5000 0.5654 0.5654 1
```

Most intense lines, 2θ from 15° to 90°, low angle first:
2θ 31.43, rel. 100.0; 2θ 33.92, rel. 22.9; 2θ 34.09, rel. 31.3; 2θ 39.65, rel. 24.9; 2θ 39.81, rel. 65.4; 2θ 40.50, rel. 29.4